Theoretical XRD peak list
Compound: CdSi3
Radiation: Cu Kα, 1.54184 Å
Structure: DFT lattice parameters and positions (PBE)
Peak positions follow from Bragg's law for the DFT cell and can differ from measured ones.

Top 10 peaks for 15° ≤ 2θ ≤ 90°, in order of rising 2θ:
| Position (°2θ) | intensity |
| --- | --- |
| 25.9 | 248 |
| 27.5 | 274 |
| 30.5 | 703 |
| 38.2 | 1000 |
| 39.3 | 714 |
| 47.7 | 185 |
| 56.8 | 372 |
| 61.0 | 176 |
| 65.8 | 143 |
| 70.5 | 310 |

Cell and atoms:
Unit cell a=3.242 b=3.242 c=6.873 alpha=90.00 beta=90.00 gamma=90.00
Element x y z (fractional)
Cd (0.000, 0.000, 0.000)
Si (0.000, 0.000, 0.500)
Si (0.500, 0.500, 0.320)
Si (0.500, 0.500, 0.680)

Theoretical XRD peak list
Compound: Cd4Si23
Radiation: Cu Kα, 1.54184 Å
Structure: DFT lattice parameters and positions (PBE)
Peak positions follow from Bragg's law for the DFT cell and can differ from measured ones.

Top 10 peaks for 15° ≤ 2θ ≤ 90°, in order of rising 2θ:
| Position (°2θ) | intensity |
| --- | --- |
| 19.3 | 202 |
| 21.2 | 188 |
| 30.2 | 264 |
| 31.4 | 446 |
| 32.6 | 1000 |
| 35.0 | 226 |
| 51.9 | 139 |
| 53.6 | 169 |
| 55.2 | 384 |
| 67.0 | 126 |

Cell and atoms:
Unit cell a=10.265 b=10.265 c=10.265 alpha=90.00 beta=90.00 gamma=90.00
Element x y z (fractional)
Cd (0.000, 0.000, 0.000)
Cd (0.000, 0.250, 0.500)
Cd (0.000, 0.750, 0.500)
Cd (0.250, 0.500, 0.000)
Cd (0.500, 0.000, 0.250)
Cd (0.500, 0.000, 0.750)
Cd (0.500, 0.500, 0.500)
Cd (0.750, 0.500, 0.000)
Si (0.000, 0.308, 0.117)
Si (0.000, 0.308, 0.883)
Si (0.000, 0.500, 0.250)
Si (0.000, 0.500, 0.750)
Si (0.000, 0.692, 0.117)
Si (0.000, 0.692, 0.883)
Si (0.117, 0.000, 0.308)
Si (0.117, 0.000, 0.692)
Si (0.184, 0.184, 0.184)
Si (0.184, 0.184, 0.816)
Si (0.184, 0.816, 0.184)
Si (0.184, 0.816, 0.816)
Si (0.192, 0.500, 0.383)
Si (0.192, 0.500, 0.617)
Si (0.250, 0.000, 0.500)
Si (0.308, 0.117, 0.000)
Si (0.308, 0.883, 0.000)
Si (0.316, 0.316, 0.316)
Si (0.316, 0.316, 0.684)
Si (0.316, 0.684, 0.316)
Si (0.316, 0.684, 0.684)
Si (0.383, 0.192, 0.500)
Si (0.383, 0.808, 0.500)
Si (0.500, 0.250, 0.000)
Si (0.500, 0.383, 0.192)
Si (0.500, 0.383, 0.808)
Si (0.500, 0.617, 0.192)
Si (0.500, 0.617, 0.808)
Si (0.500, 0.750, 0.000)
Si (0.617, 0.192, 0.500)
Si (0.617, 0.808, 0.500)
Si (0.684, 0.316, 0.316)
Si (0.684, 0.316, 0.684)
Si (0.684, 0.684, 0.316)
Si (0.684, 0.684, 0.684)
Si (0.692, 0.117, 0.000)
Si (0.692, 0.883, 0.000)
Si (0.750, 0.000, 0.500)
Si (0.808, 0.500, 0.383)
Si (0.808, 0.500, 0.617)
Si (0.816, 0.184, 0.184)
Si (0.816, 0.184, 0.816)
Si (0.816, 0.816, 0.184)
Si (0.816, 0.816, 0.816)
Si (0.883, 0.000, 0.308)
Si (0.883, 0.000, 0.692)

Theoretical XRD peak list
Compound: CdSi
Radiation: Cu Kα, 1.54184 Å
Structure: DFT lattice parameters and positions (PBE)
Peak positions follow from Bragg's law for the DFT cell and can differ from measured ones.

Top 10 peaks for 15° ≤ 2θ ≤ 90°, in order of rising 2θ:
| Position (°2θ) | intensity |
| --- | --- |
| 30.8 | 1000 |
| 33.7 | 716 |
| 35.1 | 412 |
| 36.1 | 416 |
| 36.6 | 670 |
| 38.0 | 398 |
| 38.8 | 280 |
| 39.2 | 457 |
| 43.2 | 601 |
| 45.3 | 278 |

Cell and atoms:
Unit cell a=5.378 b=5.378 c=7.696 alpha=104.49 beta=104.49 gamma=34.71
Element x y z (fractional)
Cd (0.000, 0.000, 0.000)
Cd (0.311, 0.311, 0.166)
Cd (0.621, 0.621, 0.337)
Si (0.107, 0.107, 0.712)
Si (0.426, 0.426, 0.556)
Si (0.788, 0.788, 0.691)

Theoretical XRD peak list
Compound: Cd5Si3
Radiation: Cu Kα, 1.54184 Å
Structure: DFT lattice parameters and positions (PBE)
Peak positions follow from Bragg's law for the DFT cell and can differ from measured ones.

Top 10 peaks for 15° ≤ 2θ ≤ 90°, in order of rising 2θ:
| Position (°2θ) | intensity |
| --- | --- |
| 22.8 | 487 |
| 23.2 | 351 |
| 32.0 | 408 |
| 32.2 | 1000 |
| 32.9 | 599 |
| 34.3 | 355 |
| 35.2 | 572 |
| 36.1 | 578 |
| 40.3 | 484 |
| 43.6 | 549 |

Cell and atoms:
Unit cell a=4.830 b=8.467 c=8.866 alpha=93.39 beta=105.12 gamma=96.72
Element x y z (fractional)
Cd (0.000, 0.000, 0.000)
Cd (0.002, 0.278, 0.310)
Cd (0.107, 0.360, 0.908)
Cd (0.338, 0.008, 0.734)
Cd (0.448, 0.088, 0.332)
Cd (0.450, 0.367, 0.642)
Cd (0.539, 0.810, 0.125)
Cd (0.713, 0.867, 0.560)
Cd (0.731, 0.499, 0.083)
Cd (0.912, 0.558, 0.516)
Si (0.115, 0.800, 0.334)
Si (0.337, 0.566, 0.306)
Si (0.465, 0.654, 0.813)
Si (0.565, 0.159, 0.043)
Si (0.885, 0.208, 0.599)
Si (0.987, 0.713, 0.829)